Diffraction record for Tl3CO3F. The powder XRD pattern is calculated, not measured: it uses a structure optimized by DFT (PBE) and CuKα.
Lines closer than 0.1° are merged.

Most intense lines, 15° ≤ 2θ ≤ 90°, in order of rising 2θ:
hkl  2theta  I (rel.)
2 0 -1  23.28  24.1
1 1 -2  27.36  100.0
0 2 0  28.57  47.4
0 1 2  30.57  69.4
2 2 -1  37.17  21.6
2 2 1  46.51  25.6
1 3 -2  49.86  24.8
1 1 3  51.86  26.0
4 1 -1  51.97  19.8
1 2 -4  58.27  21.4

Structure:
```
Tl3CO3F
1.0
7.629 0.000 0.000
0.000 6.250 0.000
-3.810 0.000 6.628
Tl C O F
6 2 6 2
direct
0.085 0.250 0.249
0.253 0.250 0.834
0.334 0.750 0.583
0.666 0.250 0.417
0.747 0.750 0.166
0.915 0.750 0.751
0.329 0.750 0.167
0.671 0.250 0.833
0.170 0.750 0.190
0.306 0.750 0.986
0.490 0.250 0.675
0.510 0.750 0.325
0.694 0.250 0.014
0.830 0.250 0.810
0.000 0.000 0.500
0.000 0.500 0.500
```


Diffraction record for PCF3. The powder XRD pattern is calculated, not measured: it uses a structure optimized by DFT (PBE) and CuKα.
Lines closer than 0.1° are merged.

Most intense lines, 15° ≤ 2θ ≤ 90°, in order of rising 2θ:
hkl  2theta  I (rel.)
1 0 1  15.99  31.9
2 2 0  22.09  100.0
2 1 1  22.39  28.4
1 0 2  29.22  21.8
4 0 0  31.44  13.8
2 1 2  33.27  36.1
3 3 0  33.40  21.1
4 0 1  34.55  13.9
5 0 3  59.64  15.1
7 3 0  62.06  10.0

Structure:
```
PCF3
1.0
11.381 0.000 0.000
0.000 11.381 0.000
0.000 0.000 6.347
P C F
8 8 24
direct
0.041 0.750 0.175
0.250 0.541 0.325
0.250 0.959 0.325
0.459 0.750 0.175
0.541 0.250 0.825
0.750 0.041 0.675
0.750 0.459 0.675
0.959 0.250 0.825
0.007 0.250 0.554
0.250 0.007 0.054
0.250 0.493 0.054
0.493 0.250 0.554
0.507 0.750 0.446
0.750 0.507 0.946
0.750 0.993 0.946
0.993 0.750 0.446
0.039 0.145 0.916
0.039 0.355 0.916
0.067 0.750 0.608
0.145 0.039 0.416
0.145 0.461 0.416
0.250 0.567 0.892
0.250 0.933 0.892
0.355 0.039 0.416
0.355 0.461 0.416
0.433 0.750 0.608
0.461 0.145 0.916
0.461 0.355 0.916
0.539 0.645 0.084
0.539 0.855 0.084
0.567 0.250 0.392
0.645 0.539 0.584
0.645 0.961 0.584
0.750 0.067 0.108
0.750 0.433 0.108
0.855 0.539 0.584
0.855 0.961 0.584
0.933 0.250 0.392
0.961 0.645 0.084
0.961 0.855 0.084
```